For Ni9O13, a structure optimized by DFT (PBE+U) gives the theoretical powder diffraction line list in this record (Cu Kα (weighted mean of Kα1 and Kα2)).

Top 10 peaks for 10° ≤ 2θ ≤ 90°, by angle:
2theta, Rel. int.
11.36, 100
18.18, 25
36.34, 65
36.74, 40
41.84, 26
42.61, 19
43.25, 32
44.48, 22
45.41, 25
63.59, 20

Structural model:
Cell: 5.160 5.160 15.808 Å, 99.28 99.28 32.94°
Element x y z (fractional)
Ni1 0.000 0.000 0.000
Ni2 0.149 0.149 0.546
Ni3 0.250 0.250 0.912
Ni4 0.437 0.437 0.624
Ni5 0.497 0.497 0.835
Ni6 0.503 0.503 0.165
Ni7 0.563 0.563 0.376
Ni8 0.750 0.750 0.088
Ni9 0.851 0.851 0.454
O1 0.066 0.066 0.649
O2 0.109 0.109 0.807
O3 0.116 0.116 0.114
O4 0.200 0.200 0.428
O5 0.375 0.375 0.044
O6 0.380 0.380 0.731
O7 0.500 0.500 0.500
O8 0.620 0.620 0.269
O9 0.625 0.625 0.956
O10 0.800 0.800 0.572
O11 0.884 0.884 0.886
O12 0.891 0.891 0.193
O13 0.934 0.934 0.351